Structure and calculated PXRD pattern of Sc2In3Ag (a PBE-relaxed structure; Cu Kα (weighted mean of Kα1 and Kα2)).
Peak positions follow from Bragg's law for the DFT cell and can differ from measured ones.

Top 10 peaks for 5 to 70 degrees two-theta, sorted by position:
Position (°2θ), d_spacing, I (rel.)
21.19, 4.193, 27
27.28, 3.269, 35
34.80, 2.578, 82
37.14, 2.421, 100
46.69, 1.946, 47
51.80, 1.765, 25
56.28, 1.635, 10
65.42, 1.427, 16
66.99, 1.397, 11
69.37, 1.355, 29

Cell and atoms:
```
data_Sc2In3Ag
_cell_length_a 6.5386
_cell_length_b 9.6739
_cell_length_c 16.7900
_cell_angle_alpha 90.00
_cell_angle_beta 90.00
_cell_angle_gamma 90.00
_symmetry_space_group_name_H-M 'F m m m'
_symmetry_Int_Tables_number 69
_symmetry_space_group_name_Hall '-F 2 2'
loop_
_atom_site_label
_atom_site_fract_x
_atom_site_fract_y
_atom_site_fract_z
Sc1 0.2491 0.0000 0.0000
Sc2 0.2500 0.2500 0.2500
In1 0.0000 0.0000 0.3301
In2 0.0000 0.2440 0.0854
Ag1 0.0000 0.0000 0.1676
```